1.
Structure and calculated X-ray powder pattern of Ho5Ni2Ag (DFT lattice parameters and positions (PBE); Cu Kα (λ = 1.5418 Å)).
Neutral-atom scattering factors, no anomalous dispersion.

Structure:
```
data_Ho5Ni2Ag
_cell_length_a 7.622
_cell_length_b 7.622
_cell_length_c 12.990
_cell_angle_alpha 90.00
_cell_angle_beta 90.00
_cell_angle_gamma 90.00
_space_group_name_H-M_alt 'I 4/m c m'
_space_group_IT_number 140
_space_group_name_Hall '-I 4 2c'
loop_
_atom_site_label
_atom_site_type_symbol
_atom_site_fract_x
_atom_site_fract_y
_atom_site_fract_z
_atom_site_occupancy
Ho1 Ho 0.000 0.000 0.000 1
Ho2 Ho 0.161 0.339 0.136 1
Ni1 Ni 0.128 0.372 0.500 1
Ag1 Ag 0.000 0.000 0.250 1
```

Largest 12 diffraction maxima, by angle, 10° ≤ 2θ ≤ 80°:
hkl 2 1 1, 2θ = 27.1°, I = 37; hkl 1 1 4, 2θ = 32.2°, I = 32; hkl 2 2 0, 2θ = 33.2°, I = 15; hkl 2 1 3, 2θ = 33.5°, I = 100; hkl 2 0 4, 2θ = 36.3°, I = 45; hkl 3 1 0, 2θ = 37.3°, I = 67; hkl 2 1 5, 2θ = 43.8°, I = 16; hkl 4 1 3, 2θ = 53.9°, I = 14; hkl 2 1 7, 2θ = 56.5°, I = 13; hkl 3 3 4, 2θ = 58.7°, I = 26; hkl 4 4 0, 2θ = 69.8°, I = 22; hkl 5 2 3, 2θ = 69.9°, I = 14

2.
Structure and calculated X-ray powder pattern of HoPa2AgO8 (DFT lattice parameters and positions (PBE); Cu Kα (λ = 1.5418 Å)).
Neutral-atom scattering factors, no anomalous dispersion.

Structure:
```
data_HoPa2AgO8
_cell_length_a 5.399
_cell_length_b 5.399
_cell_length_c 10.797
_cell_angle_alpha 90.00
_cell_angle_beta 90.00
_cell_angle_gamma 90.00
_space_group_name_H-M_alt 'I -4 m 2'
_space_group_IT_number 119
_space_group_name_Hall 'I -4 -2'
loop_
_atom_site_label
_atom_site_type_symbol
_atom_site_fract_x
_atom_site_fract_y
_atom_site_fract_z
_atom_site_occupancy
Ho1 Ho 0.000 0.000 0.000 1
Pa1 Pa 0.000 0.000 0.500 1
Pa2 Pa 0.000 0.500 0.750 1
Ag1 Ag 0.000 0.500 0.250 1
O1 O 0.236 0.255 0.623 1
```

Largest 12 diffraction maxima, by angle, 10° ≤ 2θ ≤ 80°:
hkl 1 0 1, 2θ = 18.4°, I = 10; hkl 1 1 2, 2θ = 28.6°, I = 100; hkl 1 0 3, 2θ = 29.8°, I = 3; hkl 2 0 0, 2θ = 33.2°, I = 34; hkl 2 1 1, 2θ = 38.2°, I = 3; hkl 2 1 3, 2θ = 45.2°, I = 3; hkl 2 2 0, 2θ = 47.6°, I = 51; hkl 3 1 2, 2θ = 56.5°, I = 46; hkl 2 2 4, 2θ = 59.3°, I = 10; hkl 0 0 8, 2θ = 69.7°, I = 8; hkl 3 3 2, 2θ = 77.0°, I = 19; hkl 4 2 0, 2θ = 79.4°, I = 13